1.
Diffraction record for TiNb. The powder diffractogram is theoretical, not measured: it uses a cell relaxed with GGA-PBE and Cu Kα.
Intensities are scaled so that the largest is 100.

The 8 most intense peaks (5 to 70 degrees two-theta), by angle:
2θ = 19.1°, d 4.639, intensity 11
2θ = 33.5°, d 2.679, intensity 6
2θ = 38.8°, d 2.320, intensity 100
2θ = 43.6°, d 2.076, intensity 3
2θ = 52.2°, d 1.754, intensity 3
2θ = 56.1°, d 1.640, intensity 16
2θ = 59.8°, d 1.546, intensity 2
2θ = 66.8°, d 1.400, intensity 1

Structure:
```
data_TiNb
_chemical_formula_sum 'Ti2 Nb2'
_space_group_name_H-M_alt 'P 1'
_space_group_IT_number 1
_cell_length_a 3.2796
_cell_length_b 4.6426
_cell_length_c 4.6394
_cell_angle_alpha 90.00
_cell_angle_beta 90.00
_cell_angle_gamma 90.00
loop_
_space_group_symop_operation_xyz
'x,y,z'
loop_
_atom_site_label
_atom_site_type_symbol
_atom_site_fract_x
_atom_site_fract_y
_atom_site_fract_z
Ti1 Ti 0.0000 0.0000 0.0000
Ti2 Ti 0.5000 0.5000 0.0000
Nb1 Nb 0.0000 0.5000 0.5000
Nb2 Nb 0.5000 0.0000 0.5000
```

=====

2.
Diffraction record for LiCuPO4. The powder diffractogram is theoretical, not measured: it uses a cell relaxed with GGA-PBE and Cu Kα.
Intensities are scaled so that the largest is 100.

The 12 most intense peaks (5 to 70 degrees two-theta), by angle:
2θ = 11.8°, d 7.502, intensity 78
2θ = 21.7°, d 4.104, intensity 13
2θ = 23.7°, d 3.751, intensity 14
2θ = 27.5°, d 3.246, intensity 17
2θ = 29.2°, d 3.058, intensity 35
2θ = 30.8°, d 2.903, intensity 16
2θ = 33.8°, d 2.649, intensity 100
2θ = 37.5°, d 2.400, intensity 24
2θ = 47.5°, d 1.916, intensity 13
2θ = 48.6°, d 1.874, intensity 12
2θ = 59.2°, d 1.562, intensity 18
2θ = 63.3°, d 1.470, intensity 13

Structure:
```
data_LiCuPO4
_chemical_formula_sum 'Li4 Cu4 P4 O16'
_space_group_name_H-M_alt 'P 1'
_space_group_IT_number 1
_cell_length_a 4.2670
_cell_length_b 15.0042
_cell_length_c 4.5833
_cell_angle_alpha 90.00
_cell_angle_beta 90.00
_cell_angle_gamma 90.00
loop_
_space_group_symop_operation_xyz
'x,y,z'
loop_
_atom_site_label
_atom_site_type_symbol
_atom_site_fract_x
_atom_site_fract_y
_atom_site_fract_z
Li1 Li 0.0000 0.2471 0.2500
Li2 Li 0.0000 0.7529 0.7500
Li3 Li 0.5000 0.2529 0.7500
Li4 Li 0.5000 0.7471 0.2500
Cu1 Cu 0.0000 0.0711 0.7500
Cu2 Cu 0.0000 0.9289 0.2500
Cu3 Cu 0.5000 0.4289 0.2500
Cu4 Cu 0.5000 0.5711 0.7500
P1 P 0.0000 0.3864 0.7500
P2 P 0.0000 0.6136 0.2500
P3 P 0.5000 0.1136 0.2500
P4 P 0.5000 0.8864 0.7500
O1 O 0.1901 0.3275 0.5329
O2 O 0.1901 0.6725 0.0329
O3 O 0.2343 0.4456 0.9220
O4 O 0.2343 0.5544 0.4220
O5 O 0.2657 0.0544 0.4220
O6 O 0.2657 0.9456 0.9220
O7 O 0.3099 0.1725 0.0329
O8 O 0.3099 0.8275 0.5329
O9 O 0.6901 0.1725 0.4671
O10 O 0.6901 0.8275 0.9671
O11 O 0.7343 0.0544 0.0780
O12 O 0.7343 0.9456 0.5780
O13 O 0.7657 0.4456 0.5780
O14 O 0.7657 0.5544 0.0780
O15 O 0.8099 0.3275 0.9671
O16 O 0.8099 0.6725 0.4671
```

=====

3.
Diffraction record for Zr6Al2CoH10. The powder diffractogram is theoretical, not measured: it uses a cell relaxed with GGA-PBE and Cu Kα.
Intensities are scaled so that the largest is 100.

The 12 most intense peaks (5 to 70 degrees two-theta), by angle:
2θ = 12.6°, d 7.044, intensity 13
2θ = 21.9°, d 4.067, intensity 10
2θ = 33.4°, d 2.681, intensity 100
2θ = 33.7°, d 2.662, intensity 56
2θ = 35.8°, d 2.506, intensity 51
2θ = 36.0°, d 2.494, intensity 20
2θ = 38.3°, d 2.348, intensity 31
2θ = 42.4°, d 2.133, intensity 19
2θ = 51.2°, d 1.783, intensity 14
2θ = 58.5°, d 1.579, intensity 11
2θ = 62.7°, d 1.481, intensity 17
2θ = 63.2°, d 1.472, intensity 25

Structure:
```
data_Zr6Al2CoH10
_chemical_formula_sum 'Zr12 Al4 Co2 H20'
_space_group_name_H-M_alt 'P 1'
_space_group_IT_number 1
_cell_length_a 8.1333
_cell_length_b 8.1333
_cell_length_c 7.1306
_cell_angle_alpha 90.00
_cell_angle_beta 90.00
_cell_angle_gamma 120.00
loop_
_space_group_symop_operation_xyz
'x,y,z'
loop_
_atom_site_label
_atom_site_type_symbol
_atom_site_fract_x
_atom_site_fract_y
_atom_site_fract_z
Zr1 Zr 0.0000 0.7378 0.0000
Zr2 Zr 0.0000 0.7378 0.5000
Zr3 Zr 0.0487 0.4229 0.2500
Zr4 Zr 0.2622 0.2622 0.0000
Zr5 Zr 0.2622 0.2622 0.5000
Zr6 Zr 0.3742 0.9513 0.2500
Zr7 Zr 0.4229 0.0487 0.7500
Zr8 Zr 0.5771 0.6258 0.2500
Zr9 Zr 0.6258 0.5771 0.7500
Zr10 Zr 0.7378 0.0000 0.0000
Zr11 Zr 0.7378 0.0000 0.5000
Zr12 Zr 0.9513 0.3742 0.7500
Al1 Al 0.3333 0.6667 0.5525
Al2 Al 0.3333 0.6667 0.9475
Al3 Al 0.6667 0.3333 0.0525
Al4 Al 0.6667 0.3333 0.4475
Co1 Co 0.0000 0.0000 0.2500
Co2 Co 0.0000 0.0000 0.7500
H1 H 0.0000 0.0000 0.0000
H2 H 0.0000 0.0000 0.5000
H3 H 0.0000 0.2787 0.0000
H4 H 0.0000 0.2787 0.5000
H5 H 0.1153 0.7052 0.2500
H6 H 0.1155 0.2347 0.7500
H7 H 0.1192 0.8845 0.7500
H8 H 0.2347 0.1155 0.2500
H9 H 0.2787 0.0000 0.0000
H10 H 0.2787 0.0000 0.5000
H11 H 0.2948 0.4101 0.2500
H12 H 0.4101 0.2948 0.7500
H13 H 0.5899 0.8847 0.2500
H14 H 0.7052 0.1153 0.7500
H15 H 0.7213 0.7213 0.0000
H16 H 0.7213 0.7213 0.5000
H17 H 0.7653 0.8808 0.7500
H18 H 0.8808 0.7653 0.2500
H19 H 0.8845 0.1192 0.2500
H20 H 0.8847 0.5899 0.7500
```

=====

4.
Diffraction record for Ba6MgP6O21. The powder diffractogram is theoretical, not measured: it uses a cell relaxed with GGA-PBE and Cu Kα.
Intensities are scaled so that the largest is 100.

The 12 most intense peaks (5 to 70 degrees two-theta), by angle:
2θ = 22.0°, d 4.046, intensity 100
2θ = 22.6°, d 3.934, intensity 54
2θ = 24.9°, d 3.575, intensity 39
2θ = 30.7°, d 2.910, intensity 59
2θ = 31.3°, d 2.855, intensity 23
2θ = 32.7°, d 2.739, intensity 22
2θ = 38.4°, d 2.344, intensity 18
2θ = 39.0°, d 2.310, intensity 32
2θ = 40.2°, d 2.243, intensity 13
2θ = 41.7°, d 2.166, intensity 19
2θ = 42.0°, d 2.149, intensity 14
2θ = 50.6°, d 1.804, intensity 14

Structure:
```
data_Ba6MgP6O21
_chemical_formula_sum 'Ba6 Mg1 P6 O21'
_space_group_name_H-M_alt 'P 1'
_space_group_IT_number 1
_cell_length_a 7.2552
_cell_length_b 9.7610
_cell_length_c 9.7610
_cell_angle_alpha 122.66
_cell_angle_beta 90.00
_cell_angle_gamma 90.00
loop_
_space_group_symop_operation_xyz
'x,y,z'
loop_
_atom_site_label
_atom_site_type_symbol
_atom_site_fract_x
_atom_site_fract_y
_atom_site_fract_z
Ba1 Ba 0.0000 0.0000 0.0000
Ba2 Ba 0.0000 0.2589 0.5728
Ba3 Ba 0.0000 0.5728 0.2589
Ba4 Ba 0.5000 0.3004 0.9123
Ba5 Ba 0.5000 0.7130 0.7130
Ba6 Ba 0.5000 0.9123 0.3004
Mg1 Mg 0.0000 0.6226 0.6226
P1 P 0.2185 0.6330 0.9724
P2 P 0.2185 0.9724 0.6330
P3 P 0.2858 0.3084 0.3084
P4 P 0.7142 0.3084 0.3084
P5 P 0.7815 0.6330 0.9724
P6 P 0.7815 0.9724 0.6330
O1 O 0.0000 0.0270 0.6712
O2 O 0.0000 0.6712 0.0270
O3 O 0.1908 0.4559 0.4559
O4 O 0.2383 0.4780 0.8039
O5 O 0.2383 0.8039 0.4780
O6 O 0.2457 0.1491 0.2987
O7 O 0.2457 0.2987 0.1491
O8 O 0.2905 0.7888 0.9885
O9 O 0.2905 0.9885 0.7888
O10 O 0.2960 0.1053 0.6100
O11 O 0.2960 0.6100 0.1053
O12 O 0.5000 0.3581 0.3581
O13 O 0.7040 0.1053 0.6100
O14 O 0.7040 0.6100 0.1053
O15 O 0.7095 0.7888 0.9885
O16 O 0.7095 0.9885 0.7888
O17 O 0.7543 0.1491 0.2987
O18 O 0.7543 0.2987 0.1491
O19 O 0.7617 0.4780 0.8039
O20 O 0.7617 0.8039 0.4780
O21 O 0.8092 0.4559 0.4559
```

=====

5.
Diffraction record for Cs3Rb. The powder diffractogram is theoretical, not measured: it uses a cell relaxed with GGA-PBE and Cu Kα.
Intensities are scaled so that the largest is 100.

The 12 most intense peaks (5 to 70 degrees two-theta), by angle:
2θ = 19.1°, d 4.654, intensity 22
2θ = 20.4°, d 4.357, intensity 26
2θ = 21.6°, d 4.105, intensity 100
2θ = 28.1°, d 3.181, intensity 17
2θ = 33.3°, d 2.687, intensity 22
2θ = 36.5°, d 2.464, intensity 26
2θ = 39.4°, d 2.287, intensity 28
2θ = 40.1°, d 2.248, intensity 20
2θ = 53.1°, d 1.724, intensity 17
2θ = 54.2°, d 1.692, intensity 11
2θ = 56.4°, d 1.632, intensity 12
2θ = 61.6°, d 1.505, intensity 11

Structure:
```
data_Cs3Rb
_chemical_formula_sum 'Cs6 Rb2'
_space_group_name_H-M_alt 'P 1'
_space_group_IT_number 1
_cell_length_a 10.7476
_cell_length_b 10.7476
_cell_length_c 8.7148
_cell_angle_alpha 90.00
_cell_angle_beta 90.00
_cell_angle_gamma 120.00
loop_
_space_group_symop_operation_xyz
'x,y,z'
loop_
_atom_site_label
_atom_site_type_symbol
_atom_site_fract_x
_atom_site_fract_y
_atom_site_fract_z
Cs1 Cs 0.1678 0.3357 0.2500
Cs2 Cs 0.1678 0.8322 0.2500
Cs3 Cs 0.3357 0.1678 0.7500
Cs4 Cs 0.6643 0.8322 0.2500
Cs5 Cs 0.8322 0.1678 0.7500
Cs6 Cs 0.8322 0.6643 0.7500
Rb1 Rb 0.3333 0.6667 0.7500
Rb2 Rb 0.6667 0.3333 0.2500
```